Entry 1:
This entry pairs a crystal structure of ErZrSi2 with its calculated powder diffractogram. Radiation: CuKα. Structure: a crystal structure in OQMD, relaxed with PBE.
Peak positions follow from Bragg's law for the DFT cell and can differ from measured ones.

Top 10 peaks for 2θ = 15–90°, by angle:
d [Å]	I_rel	(hkl)
3.114	65	1 1 0
2.887	45	1 1 -1
2.858	78	1 1 1
2.648	100	0 1 2
2.593	54	2 0 -1
2.552	54	2 0 1
2.402	49	1 1 -2
2.274	33	1 0 -3
2.140	31	2 1 -1
1.893	35	0 2 0

Structural model:
```
data_ErZrSi2
_symmetry_space_group_name_H-M 'P 1 21/m 1'
_symmetry_Int_Tables_number 11
_symmetry_space_group_name_Hall '-P 2yb'
_cell_length_a 5.488
_cell_length_b 3.786
_cell_length_c 7.414
_cell_angle_alpha 90.00
_cell_angle_beta 91.42
_cell_angle_gamma 90.00
loop_
_atom_site_label
_atom_site_type_symbol
_atom_site_fract_x
_atom_site_fract_y
_atom_site_fract_z
Er1 Er 0.125 0.250 0.180
Zr1 Zr 0.384 0.250 0.677
Si1 Si 0.140 0.750 0.465
Si2 Si 0.367 0.750 0.956
```


Entry 2:
This entry pairs a crystal structure of ZnPtSeO with its calculated powder diffractogram. Radiation: CuKα. Structure: a crystal structure in OQMD, relaxed with PBE.
Peak positions follow from Bragg's law for the DFT cell and can differ from measured ones.

Top 10 peaks for 2θ = 15–90°, by angle:
d [Å]	I_rel	(hkl)
4.988	58	1 1 0
3.273	100	1 2 0
3.048	32	2 1 0
2.858	23	0 0 2
2.480	42	1 1 2
2.170	37	2 0 2
2.153	38	1 2 2
2.132	22	3 1 0
2.002	27	2 3 0
1.814	24	3 2 1

Structural model:
```
data_ZnPtSeO
_symmetry_space_group_name_H-M 'P c a 21'
_symmetry_Int_Tables_number 29
_symmetry_space_group_name_Hall 'P 2c -2ac'
_cell_length_a 6.670
_cell_length_b 7.512
_cell_length_c 5.717
_cell_angle_alpha 90.00
_cell_angle_beta 90.00
_cell_angle_gamma 90.00
loop_
_atom_site_label
_atom_site_type_symbol
_atom_site_fract_x
_atom_site_fract_y
_atom_site_fract_z
Zn1 Zn 0.111 0.158 0.000
Pt1 Pt 0.219 0.652 0.891
Se1 Se 0.023 0.148 0.577
O1 O 0.041 0.638 0.610
```